Entry 1:
Structure and calculated XRD peak list of Sm7DyEr4 (a structure optimized by DFT (GGA-PBE); a wavelength of 1.5418 Å).
No peak broadening, texture or thermal motion is included.

Structural model:
Cell lengths 6.2557, 7.2152, 8.8926 Å; angles 89.99, 76.45, 89.97 degrees
Space group P-1 (No. 2)
Unique sites:
1 Sm 0.0000 0.0000 0.0000 [1 per cell]
2 Sm 0.2217 0.4998 0.3346 [2 per cell]
3 Sm 0.2796 0.7509 0.6651 [2 per cell]
4 Sm 0.4992 0.2477 0.9989 [2 per cell]
5 Dy 0.0000 0.5000 0.0000 [1 per cell]
6 Er 0.2200 0.9999 0.3352 [2 per cell]
7 Er 0.2781 0.2478 0.6665 [2 per cell]

Most intense lines, 2θ = 10–90°, by intensity:
Position (°2θ)  Rel. int.
31.78  100
33.47  89
31.03  51
60.53  45
50.57  39
28.77  37
54.57  21
57.86  19

Entry 2:
Structure and calculated XRD peak list of Sm5DyEr3 (a structure optimized by DFT (GGA-PBE); a wavelength of 1.5418 Å).
No peak broadening, texture or thermal motion is included.

Structural model:
Cell lengths 16.3544, 6.7106, 11.5056 Å; angles 90.00, 110.16, 90.00 degrees
Space group C2/c (No. 15)
Unique sites:
1 Sm 0.0000 0.1871 0.2500 [4 per cell]
2 Sm 0.1109 0.0030 0.5509 [8 per cell]
3 Sm 0.1712 0.4117 0.3459 [8 per cell]
4 Dy 0.0000 0.2609 0.7500 [4 per cell]
5 Er 0.0000 0.5000 0.0000 [4 per cell]
6 Er 0.2386 0.0979 0.8719 [8 per cell]

Most intense lines, 2θ = 10–90°, by intensity:
Position (°2θ)  Rel. int.
31.10  100
31.36  43
30.93  39
55.45  19
31.43  17
35.67  14
32.96  14
35.54  12

Entry 3:
Structure and calculated XRD peak list of SmDy6Er4 (a structure optimized by DFT (GGA-PBE); a wavelength of 1.5418 Å).
No peak broadening, texture or thermal motion is included.

Structural model:
Cell lengths 5.6722, 9.5913, 25.5611 Å; angles 90.00, 90.00, 90.00 degrees
Space group Cmcm (No. 63)
Unique sites:
1 Sm 0.0000 0.1880 0.2500 [4 per cell]
2 Dy 0.0000 0.1427 0.6809 [8 per cell]
3 Dy 0.0000 0.1893 0.1022 [8 per cell]
4 Dy 0.0000 0.4776 0.7500 [4 per cell]
5 Dy 0.0000 0.5000 0.0000 [4 per cell]
6 Er 0.0000 0.1573 0.5423 [8 per cell]
7 Er 0.0000 0.4723 0.6214 [8 per cell]

Most intense lines, 2θ = 10–90°, by intensity:
Position (°2θ)  Rel. int.
32.14  100
30.57  65
31.55  62
30.78  47
33.52  45
56.56  38
44.65  34
32.33  16

Entry 4:
Structure and calculated XRD peak list of Sm2Dy6Er3 (a structure optimized by DFT (GGA-PBE); a wavelength of 1.5418 Å).
No peak broadening, texture or thermal motion is included.

Structural model:
Cell lengths 4.7136, 4.7136, 33.1010 Å; angles 90.00, 90.00, 90.00 degrees
Space group I4/mmm (No. 139)
Unique sites:
1 Sm 0.0000 0.0000 0.0459 [4 per cell]
2 Dy 0.0000 0.0000 0.1966 [4 per cell]
3 Dy 0.0000 0.5000 0.1218 [8 per cell]
4 Er 0.0000 0.0000 0.2998 [4 per cell]
5 Er 0.0000 0.0000 0.5000 [2 per cell]

Most intense lines, 2θ = 10–90°, by intensity:
Position (°2θ)  Rel. int.
28.88  100
34.56  77
38.19  61
50.97  25
62.67  25
66.70  23
32.46  22
63.41  22

Entry 5:
Structure and calculated XRD peak list of Sm5Dy4Er4 (a structure optimized by DFT (GGA-PBE); a wavelength of 1.5418 Å).
No peak broadening, texture or thermal motion is included.

Structural model:
Cell lengths 12.8585, 12.8585, 5.0282 Å; angles 90.00, 90.00, 90.00 degrees
Space group I4/m (No. 87)
Unique sites:
1 Sm 0.0000 0.0000 0.0000 [2 per cell]
2 Sm 0.0382 0.8056 0.5000 [8 per cell]
3 Dy 0.1547 0.2323 0.0000 [8 per cell]
4 Er 0.0758 0.6142 0.0000 [8 per cell]

Most intense lines, 2θ = 10–90°, by intensity:
Position (°2θ)  Rel. int.
30.74  100
51.29  36
35.60  34
60.94  29
35.71  17
61.09  14
64.02  12
83.71  12

Entry 6:
Structure and calculated XRD peak list of SmDy4Er5 (a structure optimized by DFT (GGA-PBE); a wavelength of 1.5418 Å).
No peak broadening, texture or thermal motion is included.

Structural model:
Cell lengths 10.1541, 10.1541, 6.2498 Å; angles 90.00, 90.00, 90.00 degrees
Space group I4 (No. 79)
Unique sites:
1 Sm 0.0000 0.0000 0.0000 [2 per cell]
2 Dy 0.0493 0.3484 0.7697 [8 per cell]
3 Er 0.0000 0.0000 0.5420 [2 per cell]
4 Er 0.1451 0.2327 0.2728 [8 per cell]

Most intense lines, 2θ = 10–90°, by intensity:
Position (°2θ)  Rel. int.
30.02  100
27.78  64
34.95  60
31.22  38
40.27  36
28.56  31
33.68  25
39.32  24

Entry 7:
Structure and calculated XRD peak list of Sm8Dy4Er3 (a structure optimized by DFT (GGA-PBE); a wavelength of 1.5418 Å).
No peak broadening, texture or thermal motion is included.

Structural model:
Cell lengths 6.9667, 6.9667, 35.5112 Å; angles 90.00, 90.00, 120.00 degrees
Space group R-3m (No. 166, hexagonal axes)
Unique sites:
1 Sm 0.0000 0.0000 0.2453 [6 per cell]
2 Sm 0.0016 0.5008 0.7507 [18 per cell]
3 Dy 0.0000 0.0000 0.0000 [3 per cell]
4 Dy 0.0000 0.0000 0.3360 [6 per cell]
5 Dy 0.0000 0.0000 0.5000 [3 per cell]
6 Er 0.0000 0.5000 0.5000 [9 per cell]

Most intense lines, 2θ = 10–90°, by intensity:
Position (°2θ)  Rel. int.
31.32  100
36.00  73
30.20  58
61.81  47
52.54  38
29.74  30
51.09  24
26.68  19

Entry 8:
Structure and calculated XRD peak list of Sm7Dy3Er (a structure optimized by DFT (GGA-PBE); a wavelength of 1.5418 Å).
No peak broadening, texture or thermal motion is included.

Structural model:
Cell lengths 12.7388, 11.2552, 5.8600 Å; angles 90.00, 117.34, 90.00 degrees
Space group C2/m (No. 12)
Unique sites:
1 Sm 0.0000 0.0000 0.0000 [2 per cell]
2 Sm 0.1934 0.2909 0.6931 [8 per cell]
3 Sm 0.2096 0.5000 0.2077 [4 per cell]
4 Dy 0.0000 0.2949 0.0000 [4 per cell]
5 Dy 0.0000 0.5000 0.5000 [2 per cell]
6 Er 0.0000 0.0000 0.5000 [2 per cell]

Most intense lines, 2θ = 10–90°, by intensity:
Position (°2θ)  Rel. int.
32.42  100
30.51  39
55.45  22
31.80  18
44.65  14
31.63  13
44.52  11
39.81  10